For Na2La2Os, a structure optimized by DFT (GGA-PBE) gives the computed powder X-ray diffraction pattern in this record (Cu Kα X-rays).

```
Na2La2Os
1.0
5.800 0.000 0.000
0.000 5.800 0.000
0.000 0.000 7.813
Na La Os
4 4 2
Direct
0.000 0.000 0.143 Na
0.000 0.000 0.857 Na
0.500 0.500 0.357 Na
0.500 0.500 0.643 Na
0.000 0.500 0.250 La
0.000 0.500 0.750 La
0.500 0.000 0.250 La
0.500 0.000 0.750 La
0.000 0.000 0.500 Os
0.500 0.500 0.000 Os
```

Largest 6 diffraction maxima, sorted by position, 5° ≤ 2θ ≤ 70°:
- 2θ 19.06, intensity 410, hkl 1 0 1
- 2θ 30.83, intensity 690, hkl 2 0 0
- 2θ 31.63, intensity 1000, hkl 1 1 2
- 2θ 44.16, intensity 257, hkl 2 2 0
- 2θ 55.33, intensity 414, hkl 3 1 2
- 2θ 56.83, intensity 166, hkl 2 0 4